For LaU2Se4, a PBE-relaxed structure gives the simulated powder diffraction line list in this record (copper Kα).

Principal peaks in the range 2θ = 10–80°, low angle first:
d_spacing, Rel. int.
3.597, 52.9
2.786, 100.0
2.355, 69.7
1.970, 32.0
1.879, 21.6
1.799, 10.1
1.728, 22.3
1.430, 25.7
1.429, 10.1
1.360, 15.8

```
LaU2Se4
1.0
-4.403 4.403 4.410
4.403 -4.403 4.410
4.403 4.403 -4.410
La U Se
2 4 8
direct
0.000 0.000 0.000
0.750 0.250 0.500
0.250 0.125 0.625
0.375 0.750 0.875
0.500 0.625 0.375
0.875 0.500 0.125
0.133 0.384 0.409
0.134 0.383 0.909
0.275 0.867 0.250
0.475 0.225 0.091
0.616 0.025 0.750
0.617 0.525 0.750
0.775 0.866 0.250
0.975 0.725 0.591
```

---

For HgI, a PBE-relaxed structure gives the simulated powder diffraction line list in this record (copper Kα).

Principal peaks in the range 2θ = 10–80°, low angle first:
d_spacing, Rel. int.
6.142, 35.9
5.770, 17.8
3.896, 90.2
3.653, 100.0
2.911, 43.0
2.727, 35.6
2.606, 31.9
2.324, 20.4
2.232, 31.6
2.156, 19.9

```
HgI
1.0
4.502 0.000 0.000
1.488 6.104 0.000
1.594 2.118 6.142
Hg I
2 2
direct
0.204 0.371 0.392
0.796 0.629 0.608
0.241 0.822 0.811
0.759 0.178 0.189
```